Theoretical powder diffractogram
Compound: HfUN3
Radiation: Cu Kα (λ = 1.5418 Å)
Structure: a PBE-relaxed structure
Lines closer than 0.1° are merged.

Structure:
```
data_HfUN3
_symmetry_space_group_name_H-M 'R 3 2'
_symmetry_Int_Tables_number 155
_symmetry_space_group_name_Hall 'R 3 2"'
_cell_length_a 5.4663
_cell_length_b 5.4663
_cell_length_c 16.0223
_cell_angle_alpha 90.00
_cell_angle_beta 90.00
_cell_angle_gamma 120.00
loop_
_atom_site_label
_atom_site_type_symbol
_atom_site_fract_x
_atom_site_fract_y
_atom_site_fract_z
Hf1 Hf 0.0000 0.0000 0.1477
U1 U 0.0000 0.0000 0.3522
N1 N 0.0120 0.3035 0.7509
```

Largest 8 diffraction maxima, by angle, 10° ≤ 2θ ≤ 90°:
Position (°2θ), d/Å, I_rel, (hkl)
21.81, 4.076, 27, 0 1 2
29.21, 3.058, 100, 1 0 4
32.77, 2.733, 100, 1 1 0
44.46, 2.038, 35, 0 2 4
47.61, 1.910, 50, 1 1 6
56.31, 1.634, 35, 2 1 4
58.49, 1.578, 24, 3 0 0
61.06, 1.518, 19, 1 0 10